[1]
Computed powder XRD pattern
Compound: Ca3In3Cu2
Radiation: Cu Kα
Structure: a crystal structure in Alexandria, relaxed with GGA-PBE

Largest 8 diffraction maxima, by angle, 10° ≤ 2θ ≤ 90°:
(hkl), Position (°2θ), Rel. int.
0 1 0, 16.75, 25
0 1 1, 21.11, 44
1 0 0, 21.45, 27
1 -1 1, 29.38, 25
1 1 1, 32.48, 100
0 2 -1, 33.55, 26
1 1 -3, 35.00, 75
2 0 -1, 42.41, 34

Cell and atoms:
Cell lengths 4.2623, 5.3814, 9.1864 Å; angles 100.12, 103.40, 90.16 degrees
Space group P-1 (No. 2)
Symmetry-distinct sites (fractional):
Ca  0.0000  0.0000  0.0000 (multiplicity 1)
Ca  0.1579  0.5806  0.3158 (multiplicity 2)
In  0.3606  0.9178  0.7214 (multiplicity 2)
In  0.5000  0.5000  0.0000 (multiplicity 1)
Cu  0.2305  0.1067  0.4599 (multiplicity 2)



[2]
Computed powder XRD pattern
Compound: ErTlPd5
Radiation: Cu Kα
Structure: a crystal structure in Alexandria, relaxed with GGA-PBE

Largest 8 diffraction maxima, by angle, 10° ≤ 2θ ≤ 90°:
(hkl), Position (°2θ), Rel. int.
1 1 2, 24.46, 26
2 2 0, 38.51, 100
0 2 4, 44.18, 34
4 0 0, 45.93, 15
4 2 4, 65.63, 21
2 4 4, 77.48, 26
6 2 0, 80.01, 12
4 4 0, 82.54, 11

Cell and atoms:
Cell lengths 7.9030, 5.8025, 11.5882 Å; angles 90.00, 90.00, 90.00 degrees
Space group Cmcm (No. 63)
Symmetry-distinct sites (fractional):
Er  0.0000  0.0026  0.2500 (multiplicity 4)
Tl  0.0000  0.5000  0.0000 (multiplicity 4)
Pd  0.0000  0.4982  0.7500 (multiplicity 4)
Pd  0.2495  0.2481  0.6232 (multiplicity 16)



[3]
Computed powder XRD pattern
Compound: DySn6Ir
Radiation: Cu Kα
Structure: a crystal structure in Alexandria, relaxed with GGA-PBE

Largest 8 diffraction maxima, by angle, 10° ≤ 2θ ≤ 90°:
(hkl), Position (°2θ), Rel. int.
1 1 -2, 28.89, 82
2 0 0, 30.67, 57
2 2 -1, 32.44, 57
0 4 0, 32.76, 100
0 2 2, 34.65, 61
1 3 -2, 37.25, 88
2 2 1, 43.29, 48
1 3 2, 47.16, 40

Cell and atoms:
Cell lengths 6.4182, 10.9360, 6.4716 Å; angles 90.00, 114.73, 90.00 degrees
Space group C2/m (No. 12)
Symmetry-distinct sites (fractional):
Dy  0.0000  0.0000  0.0000 (multiplicity 2)
Sn  0.0498  0.5000  0.2809 (multiplicity 4)
Sn  0.1026  0.2241  0.7484 (multiplicity 8)
Ir  0.0000  0.0000  0.5000 (multiplicity 2)



[4]
Computed powder XRD pattern
Compound: Cu2Br3
Radiation: Cu Kα
Structure: a crystal structure in Alexandria, relaxed with GGA-PBE

Largest 8 diffraction maxima, by angle, 10° ≤ 2θ ≤ 90°:
(hkl), Position (°2θ), Rel. int.
2 0 0, 20.67, 39
2 1 0, 22.54, 56
2 0 1, 25.16, 100
2 1 1, 26.74, 47
0 3 1, 30.53, 99
2 2 1, 31.02, 42
2 3 2, 45.14, 40
1 2 3, 48.63, 76

Cell and atoms:
Cell lengths 8.5928, 9.9482, 6.2378 Å; angles 90.00, 90.00, 90.00 degrees
Space group Pnma (No. 62)
Symmetry-distinct sites (fractional):
Cu  0.0000  0.0000  0.0000 (multiplicity 4)
Cu  0.0810  0.2500  0.4941 (multiplicity 4)
Br  0.0009  0.7500  0.1514 (multiplicity 4)
Br  0.1596  0.0586  0.2955 (multiplicity 8)



[5]
Computed powder XRD pattern
Compound: Pr2I
Radiation: Cu Kα
Structure: a crystal structure in Alexandria, relaxed with GGA-PBE

Largest 8 diffraction maxima, by angle, 10° ≤ 2θ ≤ 90°:
(hkl), Position (°2θ), Rel. int.
0 2 0, 30.05, 100
0 0 6, 35.81, 12
2 0 0, 38.32, 10
0 2 6, 47.38, 11
2 2 0, 49.40, 10
1 3 3, 53.29, 16
1 1 9, 60.83, 10
2 2 6, 62.50, 10

Cell and atoms:
Cell lengths 4.6979, 5.9603, 15.0452 Å; angles 90.00, 90.00, 90.00 degrees
Space group Fmmm (No. 69)
Symmetry-distinct sites (fractional):
Pr  0.0000  0.0000  0.1627 (multiplicity 8)
I  0.0000  0.0000  0.5000 (multiplicity 4)



[6]
Computed powder XRD pattern
Compound: Er2CrN4
Radiation: Cu Kα
Structure: a crystal structure in Alexandria, relaxed with GGA-PBE

Largest 8 diffraction maxima, by angle, 10° ≤ 2θ ≤ 90°:
(hkl), Position (°2θ), Rel. int.
1 1 0, 23.61, 100
0 2 0, 32.75, 51
1 1 -2, 33.03, 45
0 1 2, 33.18, 26
2 0 0, 34.51, 26
2 1 -2, 41.24, 33
1 1 2, 41.63, 38
2 2 0, 48.31, 28

Cell and atoms:
Cell lengths 5.4653, 5.4692, 6.5275 Å; angles 90.00, 107.98, 90.00 degrees
Space group P2_1/m (No. 11)
Symmetry-distinct sites (fractional):
Er  0.1942  0.2500  0.0360 (multiplicity 2)
Er  0.2644  0.2500  0.5628 (multiplicity 2)
Cr  0.2515  0.7500  0.8038 (multiplicity 2)
N  0.0327  0.5054  0.7446 (multiplicity 4)
N  0.4251  0.7500  0.0708 (multiplicity 2)
N  0.4555  0.7500  0.6463 (multiplicity 2)



[7]
Computed powder XRD pattern
Compound: TbPm2Nd4Ho
Radiation: Cu Kα
Structure: a crystal structure in Alexandria, relaxed with GGA-PBE

Largest 8 diffraction maxima, by angle, 10° ≤ 2θ ≤ 90°:
(hkl), Position (°2θ), Rel. int.
1 1 2, 30.09, 100
0 2 0, 34.73, 17
2 0 0, 34.87, 17
0 0 4, 35.04, 17
0 2 4, 50.18, 18
1 3 2, 59.40, 15
3 1 2, 59.60, 14
1 1 6, 59.82, 14

Cell and atoms:
Cell lengths 5.1454, 5.1662, 10.2437 Å; angles 90.00, 90.10, 90.00 degrees
Space group P2/m (No. 10)
Symmetry-distinct sites (fractional):
Tb  0.0000  0.0000  0.0000 (multiplicity 1)
Pm  0.0000  0.0000  0.5000 (multiplicity 1)
Pm  0.5000  0.5000  0.0000 (multiplicity 1)
Nd  0.0003  0.5000  0.2511 (multiplicity 2)
Nd  0.5000  0.0000  0.2502 (multiplicity 2)
Ho  0.5000  0.5000  0.5000 (multiplicity 1)



[8]
Computed powder XRD pattern
Compound: Nd2Dy6Hg
Radiation: Cu Kα
Structure: a crystal structure in Alexandria, relaxed with GGA-PBE

Largest 8 diffraction maxima, by angle, 10° ≤ 2θ ≤ 90°:
(hkl), Position (°2θ), Rel. int.
0 3 1, 30.72, 23
3 0 1, 31.85, 100
1 3 1, 32.08, 50
0 0 2, 32.54, 47
3 3 0, 38.04, 12
2 3 2, 46.18, 17
1 6 1, 57.04, 21
3 0 3, 57.63, 14

Cell and atoms:
Cell lengths 9.8005, 10.2896, 5.5030 Å; angles 90.00, 90.00, 90.00 degrees
Space group Pnnm (No. 58)
Symmetry-distinct sites (fractional):
Nd  0.1919  0.2475  0.0000 (multiplicity 4)
Dy  0.0192  0.3174  0.5000 (multiplicity 4)
Dy  0.1369  0.8961  0.0000 (multiplicity 4)
Dy  0.1825  0.5731  0.0000 (multiplicity 4)
Hg  0.0000  0.0000  0.5000 (multiplicity 2)



[9]
Computed powder XRD pattern
Compound: Ca2Mg6Hg
Radiation: Cu Kα
Structure: a crystal structure in Alexandria, relaxed with GGA-PBE

Largest 8 diffraction maxima, by angle, 10° ≤ 2θ ≤ 90°:
(hkl), Position (°2θ), Rel. int.
0 0 1, 12.96, 82
1 1 0, 15.92, 100
1 1 -1, 19.87, 75
3 1 0, 28.97, 47
1 1 -2, 29.70, 60
0 2 1, 30.18, 64
2 0 2, 33.24, 81
2 2 1, 35.69, 63

Cell and atoms:
Cell lengths 10.5651, 6.5737, 6.8918 Å; angles 90.00, 97.70, 90.00 degrees
Space group C2/m (No. 12)
Symmetry-distinct sites (fractional):
Ca  0.1628  0.0000  0.3754 (multiplicity 4)
Mg  0.1076  0.2337  0.8470 (multiplicity 8)
Mg  0.1446  0.5000  0.1926 (multiplicity 4)
Hg  0.0000  0.5000  0.5000 (multiplicity 2)



[10]
Computed powder XRD pattern
Compound: TlGaFeCl6
Radiation: Cu Kα
Structure: a crystal structure in Alexandria, relaxed with GGA-PBE

Largest 8 diffraction maxima, by angle, 10° ≤ 2θ ≤ 90°:
(hkl), Position (°2θ), Rel. int.
1 1 1, 20.29, 100
2 0 0, 27.90, 16
2 0 1, 30.63, 18
2 2 1, 34.74, 20
1 3 2, 37.77, 51
3 1 -1, 45.13, 24
0 6 0, 49.36, 15
2 2 -3, 50.56, 17

Cell and atoms:
Cell lengths 6.3962, 11.0786, 7.1403 Å; angles 90.00, 90.09, 90.00 degrees
Space group C2 (No. 5)
Symmetry-distinct sites (fractional):
Tl  0.0000  0.0000  0.0000 (multiplicity 2)
Ga  0.0000  0.3333  0.5000 (multiplicity 2)
Fe  0.0000  0.6668  0.5000 (multiplicity 2)
Cl  0.1230  0.4967  0.6945 (multiplicity 4)
Cl  0.1830  0.1889  0.6935 (multiplicity 4)
Cl  0.1927  0.8136  0.6937 (multiplicity 4)